This entry pairs a crystal structure of Na4MgMo2O8 with its theoretical X-ray diffraction stick pattern. Radiation: Cu Kα (weighted mean of Kα1 and Kα2). Structure: a cell relaxed with GGA+U.
Lines closer than 0.1° are merged.

Atomic structure:
```
data_Na4MgMo2O8
_chemical_formula_sum 'Na8 Mg2 Mo4 O16'
_symmetry_space_group_name_H-M 'I m m 2'
_symmetry_Int_Tables_number 44
_cell_length_a 6.468
_cell_length_b 6.645
_cell_length_c 9.853
_cell_angle_alpha 90.00
_cell_angle_beta 90.00
_cell_angle_gamma 90.00
loop_
_symmetry_equiv_pos_as_xyz
'x,y,z'
'-x,-y,z'
'-x,y,z'
'x,-y,z'
'x+1/2,y+1/2,z+1/2'
'-x+1/2,-y+1/2,z+1/2'
'-x+1/2,y+1/2,z+1/2'
'x+1/2,-y+1/2,z+1/2'
loop_
_atom_site_label
_atom_site_fract_x
_atom_site_fract_y
_atom_site_fract_z
Na1 0.000 0.224 0.000
Na2 0.228 0.000 0.315
Mg1 0.000 0.500 0.223
Mo1 0.000 0.000 0.670
Mo2 0.000 0.500 0.508
O1 0.000 0.238 0.767
O2 0.000 0.293 0.367
O3 0.230 0.500 0.088
O4 0.239 0.000 0.080
```

Principal peaks in the range 15° ≤ 2θ ≤ 90°, low angle first:
- hkl 0 1 1, 5.509 Å, 2θ = 16.09°, I 48
- hkl 1 0 1, 5.407 Å, 2θ = 16.39°, I 100
- hkl 1 1 2, 3.376 Å, 2θ = 26.40°, I 80
- hkl 0 2 0, 3.323 Å, 2θ = 26.83°, I 51
- hkl 2 0 0, 3.234 Å, 2θ = 27.58°, I 45
- hkl 0 1 3, 2.944 Å, 2θ = 30.36°, I 94
- hkl 1 2 1, 2.831 Å, 2θ = 31.61°, I 75
- hkl 2 1 1, 2.789 Å, 2θ = 32.09°, I 75
- hkl 0 2 2, 2.755 Å, 2θ = 32.50°, I 30
- hkl 2 1 3, 2.176 Å, 2θ = 41.50°, I 63
- hkl 1 2 5, 1.640 Å, 2θ = 56.08°, I 32
- hkl 1 3 4, 1.596 Å, 2θ = 57.75°, I 33